(1)
ErPPd: calculated XRD peak list (CuKα), based on a DFT-relaxed cell (GGA-PBE, the Materials Project).

Main lines, in order of rising 2θ (2θ from 15° to 90°):
2θ = 25.13°, rel. 26.8; 2θ = 34.43°, rel. 42.8; 2θ = 34.84°, rel. 100.0; 2θ = 36.39°, rel. 78.5; 2θ = 37.19°, rel. 38.3; 2θ = 41.03°, rel. 20.0; 2θ = 41.68°, rel. 29.9; 2θ = 43.82°, rel. 22.3; 2θ = 45.52°, rel. 31.9; 2θ = 67.52°, rel. 24.3

Crystal structure
Cell: 6.883 3.986 7.745 Å, 90.00 90.00 90.00°
Fractional positions:
1 Er 0.031 0.250 0.187
2 Er 0.469 0.750 0.687
3 Er 0.531 0.250 0.313
4 Er 0.969 0.750 0.813
5 P 0.249 0.250 0.877
6 P 0.251 0.750 0.377
7 P 0.749 0.250 0.623
8 P 0.751 0.750 0.123
9 Pd 0.147 0.250 0.561
10 Pd 0.353 0.750 0.061
11 Pd 0.647 0.250 0.939
12 Pd 0.853 0.750 0.439

=====

(2)
Er3P6Pd20: calculated XRD peak list (CuKα), based on a DFT-relaxed cell (GGA-PBE, the Materials Project).

Main lines, in order of rising 2θ (2θ from 15° to 90°):
2θ = 32.64°, rel. 23.2; 2θ = 35.86°, rel. 36.8; 2θ = 38.12°, rel. 100.0; 2θ = 41.64°, rel. 33.7; 2θ = 43.65°, rel. 21.3; 2θ = 49.27°, rel. 12.4; 2θ = 64.44°, rel. 30.1; 2θ = 65.94°, rel. 14.8; 2θ = 76.00°, rel. 20.9; 2θ = 77.40°, rel. 9.6

Crystal structure
Cell: 8.675 8.675 8.675 Å, 60.00 60.00 60.00°
Fractional positions:
1 Er 0.000 0.000 0.000
2 Er 0.250 0.250 0.250
3 Er 0.750 0.750 0.750
4 P 0.263 0.263 0.737
5 P 0.263 0.737 0.263
6 P 0.263 0.737 0.737
7 P 0.737 0.263 0.263
8 P 0.737 0.263 0.737
9 P 0.737 0.737 0.263
10 Pd 0.000 0.000 0.345
11 Pd 0.000 0.000 0.655
12 Pd 0.000 0.345 0.000
13 Pd 0.000 0.345 0.655
14 Pd 0.000 0.655 0.000
15 Pd 0.000 0.655 0.345
16 Pd 0.152 0.616 0.616
17 Pd 0.345 0.000 0.000
18 Pd 0.345 0.000 0.655
19 Pd 0.345 0.655 0.000
20 Pd 0.384 0.384 0.384
21 Pd 0.384 0.384 0.848
22 Pd 0.384 0.848 0.384
23 Pd 0.616 0.152 0.616
24 Pd 0.616 0.616 0.152
25 Pd 0.616 0.616 0.616
26 Pd 0.655 0.000 0.000
27 Pd 0.655 0.000 0.345
28 Pd 0.655 0.345 0.000
29 Pd 0.848 0.384 0.384

=====

(3)
ErPS4: calculated XRD peak list (CuKα), based on a DFT-relaxed cell (GGA-PBE, the Materials Project).

Main lines, in order of rising 2θ (2θ from 15° to 90°):
2θ = 16.50°, rel. 100.0; 2θ = 25.01°, rel. 61.4; 2θ = 30.11°, rel. 48.7; 2θ = 33.35°, rel. 19.4; 2θ = 37.42°, rel. 32.3; 2θ = 38.49°, rel. 40.2; 2θ = 41.54°, rel. 22.6; 2θ = 42.13°, rel. 49.5; 2θ = 54.28°, rel. 16.2; 2θ = 57.60°, rel. 16.8

Crystal structure
Cell: 12.172 12.172 12.172 Å, 127.60 127.60 77.27°
Fractional positions:
1 Er 0.125 0.375 0.750
2 Er 0.125 0.875 0.250
3 Er 0.375 0.125 0.250
4 Er 0.375 0.625 0.750
5 Er 0.625 0.375 0.250
6 Er 0.625 0.875 0.750
7 Er 0.875 0.125 0.750
8 Er 0.875 0.625 0.250
9 P 0.212 0.250 0.462
10 P 0.250 0.288 0.038
11 P 0.250 0.788 0.538
12 P 0.288 0.750 0.038
13 P 0.712 0.250 0.962
14 P 0.750 0.212 0.462
15 P 0.750 0.712 0.962
16 P 0.788 0.750 0.538
17 S 0.083 0.883 0.472
18 S 0.089 0.389 0.972
19 S 0.095 0.664 0.940
20 S 0.111 0.411 0.528
21 S 0.117 0.089 0.200
22 S 0.155 0.095 0.931
23 S 0.164 0.595 0.440
24 S 0.224 0.155 0.560
25 S 0.276 0.836 0.931
26 S 0.336 0.776 0.431
27 S 0.345 0.276 0.940
28 S 0.383 0.583 0.972
29 S 0.389 0.917 0.300
30 S 0.405 0.345 0.569
31 S 0.411 0.383 0.300
32 S 0.417 0.889 0.800
33 S 0.583 0.111 0.200
34 S 0.589 0.617 0.700
35 S 0.595 0.655 0.431
36 S 0.611 0.083 0.700
37 S 0.617 0.417 0.028
38 S 0.655 0.724 0.060
39 S 0.664 0.224 0.569
40 S 0.724 0.164 0.069
41 S 0.776 0.845 0.440
42 S 0.836 0.405 0.560
43 S 0.845 0.905 0.069
44 S 0.883 0.911 0.800
45 S 0.889 0.589 0.472
46 S 0.905 0.336 0.060
47 S 0.911 0.611 0.028
48 S 0.917 0.117 0.528

=====

(4)
ErPS: calculated XRD peak list (CuKα), based on a DFT-relaxed cell (GGA-PBE, the Materials Project).

Main lines, in order of rising 2θ (2θ from 15° to 90°):
2θ = 21.41°, rel. 30.3; 2θ = 26.10°, rel. 100.0; 2θ = 32.36°, rel. 18.1; 2θ = 33.69°, rel. 19.9; 2θ = 34.00°, rel. 19.9; 2θ = 40.27°, rel. 26.0; 2θ = 40.53°, rel. 66.0; 2θ = 48.61°, rel. 23.5; 2θ = 50.27°, rel. 13.0; 2θ = 56.21°, rel. 13.5

Crystal structure
Cell: 5.320 5.274 16.600 Å, 90.00 90.00 90.00°
Fractional positions:
1 Er 0.015 0.250 0.146
2 Er 0.016 0.750 0.363
3 Er 0.484 0.250 0.863
4 Er 0.485 0.750 0.646
5 Er 0.515 0.250 0.354
6 Er 0.516 0.750 0.137
7 Er 0.984 0.250 0.637
8 Er 0.985 0.750 0.854
9 P 0.207 0.534 0.997
10 P 0.207 0.966 0.997
11 P 0.293 0.034 0.497
12 P 0.293 0.466 0.497
13 P 0.707 0.534 0.503
14 P 0.707 0.966 0.503
15 P 0.793 0.034 0.003
16 P 0.793 0.466 0.003
17 S 0.012 0.250 0.316
18 S 0.015 0.750 0.189
19 S 0.485 0.250 0.689
20 S 0.488 0.750 0.816
21 S 0.512 0.250 0.184
22 S 0.515 0.750 0.311
23 S 0.985 0.250 0.811
24 S 0.988 0.750 0.684

=====

(5)
ErTl2P2Se7: calculated XRD peak list (CuKα), based on a DFT-relaxed cell (GGA-PBE, the Materials Project).

Main lines, in order of rising 2θ (2θ from 15° to 90°):
2θ = 17.90°, rel. 100.0; 2θ = 25.12°, rel. 40.9; 2θ = 26.85°, rel. 79.8; 2θ = 29.60°, rel. 45.3; 2θ = 30.03°, rel. 68.3; 2θ = 30.52°, rel. 56.6; 2θ = 31.45°, rel. 56.3; 2θ = 32.02°, rel. 82.8; 2θ = 36.26°, rel. 62.8; 2θ = 37.70°, rel. 38.2

Crystal structure
Cell: 12.533 12.533 19.204 Å, 118.86 118.86 32.87°
Fractional positions:
1 Er 0.108 0.208 0.238
2 Er 0.208 0.108 0.738
3 Er 0.792 0.892 0.262
4 Er 0.892 0.792 0.762
5 Tl 0.163 0.191 0.019
6 Tl 0.191 0.163 0.519
7 Tl 0.461 0.522 0.122
8 Tl 0.478 0.539 0.378
9 Tl 0.522 0.461 0.622
10 Tl 0.539 0.478 0.878
11 Tl 0.809 0.837 0.481
12 Tl 0.837 0.809 0.981
13 P 0.017 0.077 0.309
14 P 0.077 0.017 0.809
15 P 0.320 0.343 0.361
16 P 0.343 0.320 0.861
17 P 0.657 0.680 0.139
18 P 0.680 0.657 0.639
19 P 0.923 0.983 0.191
20 P 0.983 0.923 0.691
21 Se 0.008 0.952 0.598
22 Se 0.048 0.992 0.902
23 Se 0.113 0.681 0.194
24 Se 0.126 0.662 0.393
25 Se 0.168 0.631 0.914
26 Se 0.187 0.615 0.693
27 Se 0.219 0.330 0.729
28 Se 0.236 0.289 0.405
29 Se 0.289 0.236 0.905
30 Se 0.319 0.887 0.306
31 Se 0.330 0.219 0.229
32 Se 0.338 0.874 0.107
33 Se 0.369 0.832 0.586
34 Se 0.385 0.813 0.807
35 Se 0.615 0.187 0.193
36 Se 0.631 0.168 0.414
37 Se 0.662 0.126 0.893
38 Se 0.670 0.781 0.771
39 Se 0.681 0.113 0.694
40 Se 0.711 0.764 0.095
41 Se 0.764 0.711 0.595
42 Se 0.781 0.670 0.271
43 Se 0.813 0.385 0.307
44 Se 0.832 0.369 0.086
45 Se 0.874 0.338 0.607
46 Se 0.887 0.319 0.806
47 Se 0.952 0.008 0.098
48 Se 0.992 0.048 0.402

=====

(6)
ErZn3P3: calculated XRD peak list (CuKα), based on a DFT-relaxed cell (GGA-PBE, the Materials Project).

Main lines, in order of rising 2θ (2θ from 15° to 90°):
2θ = 27.31°, rel. 100.0; 2θ = 31.54°, rel. 66.7; 2θ = 34.40°, rel. 33.6; 2θ = 36.23°, rel. 27.1; 2θ = 37.64°, rel. 58.3; 2θ = 45.43°, rel. 66.2; 2θ = 53.23°, rel. 18.1; 2θ = 53.82°, rel. 15.3; 2θ = 59.44°, rel. 37.5; 2θ = 60.42°, rel. 14.4

Crystal structure
Cell: 3.993 3.993 19.837 Å, 90.00 90.00 120.00°
Fractional positions:
1 Er 0.000 0.000 0.000
2 Er 0.000 0.000 0.500
3 Zn 0.333 0.667 0.128
4 Zn 0.333 0.667 0.372
5 Zn 0.333 0.667 0.750
6 Zn 0.667 0.333 0.250
7 Zn 0.667 0.333 0.628
8 Zn 0.667 0.333 0.872
9 P 0.333 0.667 0.250
10 P 0.333 0.667 0.583
11 P 0.333 0.667 0.917
12 P 0.667 0.333 0.083
13 P 0.667 0.333 0.417
14 P 0.667 0.333 0.750

=====

(7)
ErPaRu2: calculated XRD peak list (CuKα), based on a DFT-relaxed cell (GGA-PBE, the Materials Project).

Main lines, in order of rising 2θ (2θ from 15° to 90°):
2θ = 22.55°, rel. 2.3; 2θ = 26.09°, rel. 11.5; 2θ = 37.24°, rel. 100.0; 2θ = 43.97°, rel. 1.3; 2θ = 46.03°, rel. 3.7; 2θ = 53.68°, rel. 17.5; 2θ = 60.63°, rel. 5.1; 2θ = 67.14°, rel. 35.8; 2θ = 79.36°, rel. 11.2; 2θ = 85.26°, rel. 2.6

Crystal structure
Cell: 4.829 4.829 4.829 Å, 60.00 60.00 60.00°
Fractional positions:
1 Er 0.000 0.000 0.000
2 Pa 0.500 0.500 0.500
3 Ru 0.250 0.250 0.250
4 Ru 0.750 0.750 0.750

=====

(8)
Er5Pb4: calculated XRD peak list (CuKα), based on a DFT-relaxed cell (GGA-PBE, the Materials Project).

Main lines, in order of rising 2θ (2θ from 15° to 90°):
2θ = 29.89°, rel. 100.0; 2θ = 30.97°, rel. 27.5; 2θ = 31.70°, rel. 19.8; 2θ = 32.67°, rel. 22.7; 2θ = 33.67°, rel. 54.9; 2θ = 34.57°, rel. 21.8; 2θ = 34.83°, rel. 23.8; 2θ = 35.13°, rel. 40.8; 2θ = 35.32°, rel. 23.6; 2θ = 63.97°, rel. 16.9

Crystal structure
Cell: 8.139 15.573 8.195 Å, 90.00 90.00 90.00°
Fractional positions:
1 Er 0.034 0.100 0.177
2 Er 0.034 0.400 0.177
3 Er 0.122 0.620 0.340
4 Er 0.122 0.880 0.340
5 Er 0.209 0.250 0.504
6 Er 0.291 0.750 0.004
7 Er 0.378 0.120 0.840
8 Er 0.378 0.380 0.840
9 Er 0.466 0.600 0.677
10 Er 0.466 0.900 0.677
11 Er 0.534 0.100 0.323
12 Er 0.534 0.400 0.323
13 Er 0.622 0.620 0.160
14 Er 0.622 0.880 0.160
15 Er 0.709 0.250 0.996
16 Er 0.791 0.750 0.496
17 Er 0.878 0.120 0.660
18 Er 0.878 0.380 0.660
19 Er 0.966 0.600 0.823
20 Er 0.966 0.900 0.823
21 Pb 0.072 0.250 0.873
22 Pb 0.154 0.750 0.651
23 Pb 0.219 0.042 0.532
24 Pb 0.219 0.458 0.532
25 Pb 0.281 0.542 0.032
26 Pb 0.281 0.958 0.032
27 Pb 0.346 0.250 0.151
28 Pb 0.428 0.750 0.373
29 Pb 0.572 0.250 0.627
30 Pb 0.654 0.750 0.849
31 Pb 0.719 0.042 0.968
32 Pb 0.719 0.458 0.968
33 Pb 0.781 0.542 0.468
34 Pb 0.781 0.958 0.468
35 Pb 0.846 0.250 0.349
36 Pb 0.928 0.750 0.127

=====

(9)
ErPd2Pb: calculated XRD peak list (CuKα), based on a DFT-relaxed cell (GGA-PBE, the Materials Project).

Main lines, in order of rising 2θ (2θ from 15° to 90°):
2θ = 22.43°, rel. 1.0; 2θ = 25.96°, rel. 8.2; 2θ = 37.04°, rel. 100.0; 2θ = 43.73°, rel. 0.6; 2θ = 45.79°, rel. 2.6; 2θ = 53.38°, rel. 17.5; 2θ = 60.29°, rel. 3.7; 2θ = 66.75°, rel. 35.8; 2θ = 78.88°, rel. 11.3; 2θ = 84.72°, rel. 2.0

Crystal structure
Cell: 4.854 4.854 4.854 Å, 60.00 60.00 60.00°
Fractional positions:
1 Er 0.000 0.000 0.000
2 Pd 0.250 0.250 0.250
3 Pd 0.750 0.750 0.750
4 Pb 0.500 0.500 0.500